For Pu2UIn3Te6, a structure optimized by DFT (PBE) gives the simulated XRD peak list in this record (copper Kα).

Largest 10 diffraction maxima, by intensity, 10° ≤ 2θ ≤ 90°:
d (Å)  Position (°2θ)  I (rel.)
3.255  27.4  1000
2.392  37.6  401
2.220  40.6  359
8.146  10.9  195
1.834  49.7  195
1.414  66.1  165
1.501  61.8  164
1.628  56.5  136
1.312  72.0  79
1.313  71.9  79

Cell and atoms:
abc: 7.691 7.691 8.539
angles: 98.63 98.63 119.97
Positions (direct):
Pu (0.166, 0.834, 0.000)
Pu (0.834, 0.166, 0.000)
U (0.500, 0.500, 0.000)
In (0.000, 0.000, 0.500)
In (0.332, 0.668, 0.500)
In (0.668, 0.332, 0.500)
Te (0.101, 0.427, 0.781)
Te (0.248, 0.248, 0.221)
Te (0.427, 0.101, 0.781)
Te (0.573, 0.899, 0.219)
Te (0.752, 0.752, 0.779)
Te (0.899, 0.573, 0.219)

For Pa2Ga4CoGe2, a structure optimized by DFT (PBE) gives the simulated XRD peak list in this record (copper Kα).

Largest 10 diffraction maxima, by intensity, 10° ≤ 2θ ≤ 90°:
d (Å)  Position (°2θ)  I (rel.)
2.505  35.9  1000
2.147  42.1  416
3.083  29.0  369
1.542  60.0  279
2.215  40.7  236
1.298  72.8  220
3.037  29.4  189
4.294  20.7  148
1.252  76.0  130
1.518  61.0  128

Cell and atoms:
abc: 6.169 6.169 6.169
angles: 121.03 121.03 88.23
Positions (direct):
Pa (0.250, 0.750, 0.500)
Pa (0.750, 0.250, 0.500)
Ga (0.223, 0.223, 0.446)
Ga (0.223, 0.777, 0.000)
Ga (0.777, 0.223, 0.000)
Ga (0.777, 0.777, 0.554)
Co (0.500, 0.500, 0.000)
Ge (0.231, 0.231, 0.000)
Ge (0.769, 0.769, 0.000)

For NaLiB, a structure optimized by DFT (PBE) gives the simulated XRD peak list in this record (copper Kα).

Largest 10 diffraction maxima, by intensity, 10° ≤ 2θ ≤ 90°:
d (Å)  Position (°2θ)  I (rel.)
2.108  42.9  1000
2.594  34.6  993
2.136  42.3  741
3.395  26.3  620
3.582  24.9  434
2.862  31.3  316
1.242  76.8  240
1.500  61.8  216
1.636  56.2  216
1.222  78.2  193

Cell and atoms:
abc: 6.609 6.609 6.609
angles: 37.20 37.20 37.20
Positions (direct):
Na (0.211, 0.211, 0.211)
Na (0.789, 0.789, 0.789)
Li (0.362, 0.362, 0.362)
Li (0.638, 0.638, 0.638)
B (0.042, 0.042, 0.042)
B (0.958, 0.958, 0.958)

For RbAu3I6, a structure optimized by DFT (PBE) gives the simulated XRD peak list in this record (copper Kα).

Largest 10 diffraction maxima, by intensity, 10° ≤ 2θ ≤ 90°:
d (Å)  Position (°2θ)  I (rel.)
4.641  19.1  1000
5.315  16.7  887
3.012  29.7  613
2.782  32.2  575
2.232  40.4  557
3.300  27.0  478
4.885  18.2  426
2.658  33.7  371
2.044  44.3  355
2.075  43.6  318

Cell and atoms:
abc: 10.734 10.734 10.734
angles: 123.35 94.60 111.72
Positions (direct):
Rb (0.250, 0.250, 0.000)
Rb (0.750, 0.750, 0.000)
Au (0.183, 0.713, 0.897)
Au (0.250, 0.750, 0.500)
Au (0.317, 0.213, 0.530)
Au (0.683, 0.787, 0.470)
Au (0.750, 0.250, 0.500)
Au (0.817, 0.287, 0.103)
I (0.085, 0.530, 0.180)
I (0.150, 0.970, 0.555)
I (0.184, 0.993, 0.177)
I (0.316, 0.493, 0.809)
I (0.350, 0.905, 0.820)
I (0.415, 0.595, 0.445)
I (0.585, 0.405, 0.555)
I (0.650, 0.095, 0.180)
I (0.684, 0.507, 0.191)
I (0.816, 0.007, 0.823)
I (0.850, 0.030, 0.445)
I (0.915, 0.470, 0.820)

For DyHo4Mg4, a structure optimized by DFT (PBE) gives the simulated XRD peak list in this record (copper Kα).

Largest 10 diffraction maxima, by intensity, 10° ≤ 2θ ≤ 90°:
d (Å)  Position (°2θ)  I (rel.)
2.980  30.0  1000
2.557  35.1  643
5.711  15.5  560
4.400  20.2  381
2.639  34.0  248
1.590  58.0  229
2.441  36.8  178
1.431  65.2  168
1.905  47.8  148
1.726  53.1  142

Cell and atoms:
abc: 6.903 6.903 11.421
angles: 90.00 90.00 90.00
Positions (direct):
Dy (0.250, 0.750, 0.250)
Dy (0.750, 0.250, 0.750)
Ho (0.027, 0.250, 0.181)
Ho (0.250, 0.027, 0.681)
Ho (0.250, 0.473, 0.681)
Ho (0.473, 0.250, 0.181)
Ho (0.527, 0.750, 0.819)
Ho (0.750, 0.527, 0.319)
Ho (0.750, 0.973, 0.319)
Ho (0.973, 0.750, 0.819)
Mg (0.024, 0.250, 0.472)
Mg (0.250, 0.024, 0.972)
Mg (0.250, 0.476, 0.972)
Mg (0.476, 0.250, 0.472)
Mg (0.524, 0.750, 0.528)
Mg (0.750, 0.524, 0.028)
Mg (0.750, 0.976, 0.028)
Mg (0.976, 0.750, 0.528)

For Ru3Pt5, a structure optimized by DFT (PBE) gives the simulated XRD peak list in this record (copper Kα).

Largest 10 diffraction maxima, by intensity, 10° ≤ 2θ ≤ 90°:
d (Å)  Position (°2θ)  I (rel.)
2.260  39.9  1000
1.970  46.1  166
1.962  46.3  164
1.940  46.8  159
1.186  81.1  128
1.182  81.4  127
1.172  82.2  125
1.130  86.1  113
1.390  67.4  107
1.382  67.8  105

Cell and atoms:
abc: 7.846 7.879 3.879
angles: 90.00 90.00 90.00
Positions (direct):
Ru (0.000, 0.000, 0.000)
Ru (0.244, 0.000, 0.500)
Ru (0.256, 0.500, 0.500)
Ru (0.500, 0.500, 0.000)
Ru (0.744, 0.500, 0.500)
Ru (0.756, 0.000, 0.500)
Pt (0.000, 0.246, 0.500)
Pt (0.000, 0.500, 0.000)
Pt (0.000, 0.754, 0.500)
Pt (0.250, 0.250, 0.000)
Pt (0.250, 0.750, 0.000)
Pt (0.500, 0.000, 0.000)
Pt (0.500, 0.254, 0.500)
Pt (0.500, 0.746, 0.500)
Pt (0.750, 0.250, 0.000)
Pt (0.750, 0.750, 0.000)